Diffraction record for Li2VNiP2O8. The X-ray powder pattern is calculated, not measured: it uses a crystal structure in Alexandria, relaxed with PBE+U and Cu Kα X-rays.
Intensities are scaled so that the largest is 100.

Top 6 peaks for 15° ≤ 2θ ≤ 90°, most intense first:
- hkl 1 1 -3, 35.48 deg, 2.530 Å, I 100
- hkl 1 1 1, 25.40 deg, 3.506 Å, I 87
- hkl 0 2 0, 29.69 deg, 3.009 Å, I 59
- hkl 1 0 -1, 20.58 deg, 4.316 Å, I 49
- hkl 2 2 -2, 52.15 deg, 1.754 Å, I 35
- hkl 0 0 2, 17.16 deg, 5.167 Å, I 30

Structural model:
```
Li2VNiP2O8
1.0
4.7504 0.0000 0.0000
0.0000 6.0183 0.0000
-0.0055 0.0000 10.3350
Li V Ni P O
4 2 2 4 16
Direct
0.0000 0.0000 0.0000
0.0000 0.5000 0.0000
0.5000 0.0000 0.5000
0.5000 0.5000 0.5000
0.0168 0.2500 0.2730
0.9832 0.7500 0.7270
0.4804 0.2500 0.7777
0.5196 0.7500 0.2223
0.0909 0.7500 0.4035
0.4194 0.7500 0.9111
0.5806 0.2500 0.0889
0.9091 0.2500 0.5965
0.2043 0.7500 0.5443
0.2324 0.2500 0.6048
0.2337 0.5463 0.3343
0.2337 0.9537 0.3343
0.2578 0.2500 0.0918
0.2837 0.5440 0.8398
0.2837 0.9560 0.8398
0.2959 0.7500 0.0504
0.7041 0.2500 0.9496
0.7163 0.0440 0.1602
0.7163 0.4560 0.1602
0.7422 0.7500 0.9082
0.7663 0.0463 0.6657
0.7663 0.4537 0.6657
0.7676 0.7500 0.3952
0.7957 0.2500 0.4557
```